1.
# Y2BeBiBr
Theoretical X-ray powder pattern, Cu Kα. Input: DFT lattice parameters and positions (PBE).
Kinematic intensities with the Lorentz-polarization factor, no thermal factor.

The 8 most intense peaks (15° ≤ 2θ ≤ 90°), sorted by position:
d_spacing	2θ/deg	I/Imax
4.463	19.90	48
3.573	24.92	100
2.982	29.96	91
2.480	36.23	43
2.290	39.35	62
2.109	42.88	34
1.787	51.13	41
1.533	60.40	25

Structure:
Unit cell a=5.965 b=5.965 c=4.463 alpha=90.00 beta=90.00 gamma=90.00
Positions (direct):
Y 0.000 0.500 0.000
Y 0.500 0.000 0.000
Be 0.000 0.000 0.500
Bi 0.000 0.000 0.000
Br 0.500 0.500 0.500

=====

2.
# Tb3Pr8Mg
Theoretical X-ray powder pattern, Cu Kα. Input: DFT lattice parameters and positions (PBE).
Kinematic intensities with the Lorentz-polarization factor, no thermal factor.

The 8 most intense peaks (15° ≤ 2θ ≤ 90°), sorted by position:
d_spacing	2θ/deg	I/Imax
3.714	23.96	83
3.502	25.44	90
3.097	28.82	81
2.914	30.68	80
2.759	32.45	38
2.502	35.89	100
2.122	42.60	55
2.050	44.17	44

Structure:
Unit cell a=8.505 b=8.505 c=8.505 alpha=118.00 beta=118.00 gamma=93.50
Positions (direct):
Tb 0.000 0.000 0.000
Tb 0.250 0.750 0.500
Tb 0.750 0.250 0.500
Pr 0.122 0.376 0.000
Pr 0.242 0.743 0.000
Pr 0.257 0.257 0.499
Pr 0.376 0.122 0.000
Pr 0.624 0.624 0.745
Pr 0.743 0.242 0.000
Pr 0.758 0.758 0.501
Pr 0.878 0.878 0.255
Mg 0.500 0.500 0.000

=====

3.
# TiAlTe4
Theoretical X-ray powder pattern, Cu Kα. Input: DFT lattice parameters and positions (PBE).
Kinematic intensities with the Lorentz-polarization factor, no thermal factor.

The 8 most intense peaks (15° ≤ 2θ ≤ 90°), sorted by position:
d_spacing	2θ/deg	I/Imax
3.238	27.55	44
3.057	29.22	29
3.032	29.46	57
2.987	29.92	100
2.975	30.03	46
2.336	38.53	21
2.325	38.72	24
1.973	45.99	38

Structure:
Unit cell a=7.557 b=7.557 c=6.899 alpha=116.63 beta=116.63 gamma=29.47
Positions (direct):
Ti 0.000 0.000 0.000
Al 0.500 0.500 0.500
Te 0.124 0.124 0.790
Te 0.371 0.371 0.717
Te 0.629 0.629 0.283
Te 0.876 0.876 0.210